# 1
This entry pairs a crystal structure of BaSiGe2Pd with its simulated powder X-ray diffraction pattern. Radiation: Cu Kα, 1.54184 Å. Structure: DFT lattice parameters and positions (GGA-PBE).
No peak broadening, texture or thermal motion is included.

Top 6 peaks for 15 to 90 degrees two-theta, low angle first:
- 2.751 Å, intensity 71, hkl 1 0 3
- 2.740 Å, intensity 100, hkl 1 1 2
- 2.285 Å, intensity 64, hkl 2 0 0
- 1.758 Å, intensity 37, hkl 2 1 3
- 1.616 Å, intensity 21, hkl 2 2 0
- 1.392 Å, intensity 33, hkl 3 1 2

Crystal structure
```
data_BaSiGe2Pd
_cell_length_a 4.5703
_cell_length_b 4.5703
_cell_length_c 10.3376
_cell_angle_alpha 90.00
_cell_angle_beta 90.00
_cell_angle_gamma 90.00
_symmetry_space_group_name_H-M 'I 4 m m'
_symmetry_Int_Tables_number 107
_symmetry_space_group_name_Hall 'I 4 -2'
loop_
_atom_site_label
_atom_site_type_symbol
_atom_site_fract_x
_atom_site_fract_y
_atom_site_fract_z
Ba1 Ba 0.0000 0.0000 0.0000
Si1 Si 0.0000 0.0000 0.3938
Ge1 Ge 0.0000 0.5000 0.2541
Pd1 Pd 0.0000 0.0000 0.6377
```

---

# 2
This entry pairs a crystal structure of BaPmGe with its simulated powder X-ray diffraction pattern. Radiation: Cu Kα, 1.54184 Å. Structure: DFT lattice parameters and positions (GGA-PBE).
No peak broadening, texture or thermal motion is included.

Top 6 peaks for 15 to 90 degrees two-theta, low angle first:
- 3.778 Å, intensity 41, hkl 2 0 0
- 2.672 Å, intensity 100, hkl 2 2 0
- 1.889 Å, intensity 18, hkl 4 0 0
- 1.690 Å, intensity 17, hkl 4 2 0
- 1.542 Å, intensity 37, hkl 4 2 2
- 1.195 Å, intensity 16, hkl 6 2 0

Crystal structure
```
data_BaPmGe
_cell_length_a 7.5565
_cell_length_b 7.5565
_cell_length_c 7.5565
_cell_angle_alpha 90.00
_cell_angle_beta 90.00
_cell_angle_gamma 90.00
_symmetry_space_group_name_H-M 'F -4 3 m'
_symmetry_Int_Tables_number 216
_symmetry_space_group_name_Hall 'F -4 2 3'
loop_
_atom_site_label
_atom_site_type_symbol
_atom_site_fract_x
_atom_site_fract_y
_atom_site_fract_z
Ba1 Ba 0.0000 0.0000 0.0000
Pm1 Pm 0.0000 0.0000 0.5000
Ge1 Ge 0.2500 0.2500 0.2500
```

---

# 3
This entry pairs a crystal structure of BaPrGeSe3 with its simulated powder X-ray diffraction pattern. Radiation: Cu Kα, 1.54184 Å. Structure: DFT lattice parameters and positions (GGA-PBE).
No peak broadening, texture or thermal motion is included.

Top 6 peaks for 15 to 90 degrees two-theta, low angle first:
- 4.287 Å, intensity 33, hkl 0 2 2
- 3.221 Å, intensity 78, hkl 1 3 1
- 2.830 Å, intensity 100, hkl 1 3 2
- 2.563 Å, intensity 38, hkl 0 0 4
- 2.292 Å, intensity 32, hkl 1 5 2
- 2.236 Å, intensity 33, hkl 2 0 0

Crystal structure
```
data_BaPrGeSe3
_cell_length_a 4.4727
_cell_length_b 15.6243
_cell_length_c 10.2544
_cell_angle_alpha 90.00
_cell_angle_beta 90.00
_cell_angle_gamma 90.00
_symmetry_space_group_name_H-M 'C m c m'
_symmetry_Int_Tables_number 63
_symmetry_space_group_name_Hall '-C 2c 2'
loop_
_atom_site_label
_atom_site_type_symbol
_atom_site_fract_x
_atom_site_fract_y
_atom_site_fract_z
Ba1 Ba 0.0000 0.2419 0.2500
Pr1 Pr 0.0000 0.0000 0.0000
Ge1 Ge 0.0000 0.4648 0.7500
Se1 Se 0.0000 0.1112 0.7500
Se2 Se 0.0000 0.3656 0.5493
```

---

# 4
This entry pairs a crystal structure of Ba2Ge2Pt3 with its simulated powder X-ray diffraction pattern. Radiation: Cu Kα, 1.54184 Å. Structure: DFT lattice parameters and positions (GGA-PBE).
No peak broadening, texture or thermal motion is included.

Top 6 peaks for 15 to 90 degrees two-theta, low angle first:
- 5.521 Å, intensity 51, hkl 0 0 6
- 3.703 Å, intensity 49, hkl 0 1 2
- 2.799 Å, intensity 71, hkl 0 1 8
- 2.497 Å, intensity 69, hkl 1 0 10
- 2.194 Å, intensity 100, hkl 1 1 0
- 1.717 Å, intensity 39, hkl 1 1 12

Crystal structure
```
data_Ba2Ge2Pt3
_cell_length_a 4.3871
_cell_length_b 4.3871
_cell_length_c 33.1256
_cell_angle_alpha 90.00
_cell_angle_beta 90.00
_cell_angle_gamma 120.00
_symmetry_space_group_name_H-M 'R 3 m'
_symmetry_Int_Tables_number 160
_symmetry_space_group_name_Hall 'R 3 -2"'
loop_
_atom_site_label
_atom_site_type_symbol
_atom_site_fract_x
_atom_site_fract_y
_atom_site_fract_z
Ba1 Ba 0.0000 0.0000 0.0000
Ba2 Ba 0.0000 0.0000 0.4968
Ge1 Ge 0.0000 0.0000 0.2474
Ge2 Ge 0.0000 0.0000 0.7443
Pt1 Pt 0.0000 0.0000 0.4020
Pt2 Pt 0.0000 0.0000 0.5973
Pt3 Pt 0.0000 0.0000 0.8958
```

---

# 5
This entry pairs a crystal structure of BaZnGeSe4 with its simulated powder X-ray diffraction pattern. Radiation: Cu Kα, 1.54184 Å. Structure: DFT lattice parameters and positions (GGA-PBE).
No peak broadening, texture or thermal motion is included.

Top 6 peaks for 15 to 90 degrees two-theta, low angle first:
- 5.554 Å, intensity 38, hkl 0 1 1
- 3.997 Å, intensity 32, hkl 2 1 1
- 3.157 Å, intensity 62, hkl 3 1 1
- 3.145 Å, intensity 62, hkl 1 3 1
- 2.501 Å, intensity 100, hkl 2 2 2
- 1.710 Å, intensity 36, hkl 4 4 2

Crystal structure
```
data_BaZnGeSe4
_cell_length_a 11.5128
_cell_length_b 11.4358
_cell_length_c 6.3542
_cell_angle_alpha 90.00
_cell_angle_beta 90.00
_cell_angle_gamma 90.00
_symmetry_space_group_name_H-M 'A m a 2'
_symmetry_Int_Tables_number 40
_symmetry_space_group_name_Hall 'A 2 -2a'
loop_
_atom_site_label
_atom_site_type_symbol
_atom_site_fract_x
_atom_site_fract_y
_atom_site_fract_z
Ba1 Ba 0.0000 0.0000 0.0000
Zn1 Zn 0.2500 0.2441 0.4909
Ge1 Ge 0.2500 0.2610 0.9931
Se1 Se 0.0875 0.2550 0.2294
Se2 Se 0.2500 0.0913 0.7687
Se3 Se 0.2500 0.4168 0.7426
```

---

# 6
This entry pairs a crystal structure of Ba2Zn2SiGe with its simulated powder X-ray diffraction pattern. Radiation: Cu Kα, 1.54184 Å. Structure: DFT lattice parameters and positions (GGA-PBE).
No peak broadening, texture or thermal motion is included.

Top 6 peaks for 15 to 90 degrees two-theta, low angle first:
- 3.023 Å, intensity 100, hkl 1 0 2
- 2.444 Å, intensity 16, hkl 0 0 4
- 2.221 Å, intensity 36, hkl 1 1 0
- 1.790 Å, intensity 21, hkl 2 0 2
- 1.644 Å, intensity 28, hkl 1 1 4
- 1.394 Å, intensity 19, hkl 2 1 2

Crystal structure
```
data_Ba2Zn2SiGe
_cell_length_a 4.4419
_cell_length_b 4.4419
_cell_length_c 9.7757
_cell_angle_alpha 90.00
_cell_angle_beta 90.00
_cell_angle_gamma 120.00
_symmetry_space_group_name_H-M 'P -6 m 2'
_symmetry_Int_Tables_number 187
_symmetry_space_group_name_Hall 'P -6 2'
loop_
_atom_site_label
_atom_site_type_symbol
_atom_site_fract_x
_atom_site_fract_y
_atom_site_fract_z
Ba1 Ba 0.0000 0.0000 0.2490
Zn1 Zn 0.3333 0.6667 0.5000
Zn2 Zn 0.6667 0.3333 0.0000
Si1 Si 0.3333 0.6667 0.0000
Ge1 Ge 0.6667 0.3333 0.5000
```